(1)
For PmHo2SiN4, the PBE geometry in Alexandria gives the simulated powder XRD pattern in this record (Cu Kα (weighted mean of Kα1 and Kα2)).
Lines closer than 0.1° are merged.

Principal peaks in the range 5° ≤ 2θ ≤ 70°, low angle first:
2θ (°), I/Imax
27.99, 77
31.12, 76
31.77, 100
35.49, 23
36.37, 49
38.90, 47
48.61, 32
50.63, 22
53.89, 48
64.10, 20

Cell and atoms:
a = 3.3676 Å, b = 11.4958 Å, c = 11.4921 Å
α = 90.00°, β = 90.00°, γ = 90.00°
Space group Cmcm (No. 63)
Unique sites:
Pm (0.0000, 0.0880, 0.2500) (multiplicity 4)
Ho (0.0000, 0.3685, 0.0417) (multiplicity 8)
Si (0.0000, 0.1768, 0.7500) (multiplicity 4)
N (0.0000, 0.0000, 0.0000) (multiplicity 4)
N (0.0000, 0.2661, 0.6292) (multiplicity 8)
N (0.0000, 0.4060, 0.2500) (multiplicity 4)

=====

(2)
For Nd3Ga2Pb, the PBE geometry in Alexandria gives the simulated powder XRD pattern in this record (Cu Kα (weighted mean of Kα1 and Kα2)).
Lines closer than 0.1° are merged.

Principal peaks in the range 5° ≤ 2θ ≤ 70°, low angle first:
2θ (°), I/Imax
32.55, 21
32.69, 100
37.09, 19
43.48, 12
50.16, 13
55.35, 9
58.17, 13
58.44, 10
64.09, 14
68.51, 10

Cell and atoms:
a = 4.1632 Å, b = 16.5051 Å, c = 4.8476 Å
α = 90.00°, β = 90.00°, γ = 90.00°
Space group Cmmm (No. 65)
Unique sites:
Nd (0.0000, 0.0000, 0.0000) (multiplicity 2)
Nd (0.0000, 0.1661, 0.5000) (multiplicity 4)
Ga (0.0000, 0.3030, 0.0000) (multiplicity 4)
Pb (0.0000, 0.5000, 0.5000) (multiplicity 2)

=====

(3)
For GaCu4Au, the PBE geometry in Alexandria gives the simulated powder XRD pattern in this record (Cu Kα (weighted mean of Kα1 and Kα2)).
Lines closer than 0.1° are merged.

Principal peaks in the range 5° ≤ 2θ ≤ 70°, low angle first:
2θ (°), I/Imax
19.72, 15
21.68, 11
26.54, 21
35.07, 10
36.84, 14
41.14, 100
41.54, 98
47.38, 72
49.53, 29
68.69, 10

Cell and atoms:
a = 3.6809 Å, b = 8.1984 Å, c = 5.3872 Å
α = 90.00°, β = 90.00°, γ = 90.00°
Space group Pmmn (No. 59, origin choice 2)
Unique sites:
Ga (0.2500, 0.2500, 0.1265) (multiplicity 2)
Cu (0.2500, 0.5725, 0.1194) (multiplicity 4)
Cu (0.2500, 0.5831, 0.6307) (multiplicity 4)
Au (0.2500, 0.2500, 0.6329) (multiplicity 2)

=====

(4)
For Na3AcIn8, the PBE geometry in Alexandria gives the simulated powder XRD pattern in this record (Cu Kα (weighted mean of Kα1 and Kα2)).
Lines closer than 0.1° are merged.

Principal peaks in the range 5° ≤ 2θ ≤ 70°, low angle first:
2θ (°), I/Imax
16.37, 35
18.59, 39
31.28, 54
33.71, 89
34.28, 100
35.56, 24
37.69, 38
53.93, 23
56.87, 30
59.09, 28

Cell and atoms:
a = 6.2540 Å, b = 6.2540 Å, c = 10.0994 Å
α = 90.00°, β = 90.00°, γ = 120.00°
Space group P3m1 (No. 156)
Unique sites:
Na (0.0000, 0.0000, 0.0000) (multiplicity 1)
Na (0.0000, 0.0000, 0.3530) (multiplicity 1)
Na (0.3333, 0.6667, 0.8824) (multiplicity 1)
Ac (0.3333, 0.6667, 0.5022) (multiplicity 1)
In (0.0109, 0.5054, 0.1833) (multiplicity 3)
In (0.3247, 0.1624, 0.6860) (multiplicity 3)
In (0.6667, 0.3333, 0.4307) (multiplicity 1)
In (0.6667, 0.3333, 0.9437) (multiplicity 1)

=====

(5)
For Tm2Ge3Pd9, the PBE geometry in Alexandria gives the simulated powder XRD pattern in this record (Cu Kα (weighted mean of Kα1 and Kα2)).
Lines closer than 0.1° are merged.

Principal peaks in the range 5° ≤ 2θ ≤ 70°, low angle first:
2θ (°), I/Imax
35.48, 14
35.59, 12
36.05, 16
37.84, 100
37.99, 49
39.99, 14
40.31, 71
40.44, 36
42.58, 11
56.46, 15

Cell and atoms:
a = 13.3846 Å, b = 7.7584 Å, c = 10.0400 Å
α = 90.00°, β = 116.06°, γ = 90.00°
Space group C2/c (No. 15)
Unique sites:
Tm (0.1698, 0.0853, 0.2505) (multiplicity 8)
Ge (0.0860, 0.2386, 0.4989) (multiplicity 8)
Ge (0.2500, 0.2500, 0.0000) (multiplicity 4)
Pd (0.0000, 0.3683, 0.2500) (multiplicity 4)
Pd (0.0573, 0.0734, 0.9206) (multiplicity 8)
Pd (0.1069, 0.3138, 0.7476) (multiplicity 8)
Pd (0.1066, 0.4104, 0.0578) (multiplicity 8)
Pd (0.2280, 0.4107, 0.4212) (multiplicity 8)

=====

(6)
For Nd3DyTm2Bi6, the PBE geometry in Alexandria gives the simulated powder XRD pattern in this record (Cu Kα (weighted mean of Kα1 and Kα2)).
Lines closer than 0.1° are merged.

Principal peaks in the range 5° ≤ 2θ ≤ 70°, low angle first:
2θ (°), I/Imax
11.99, 1
24.06, 4
27.86, 100
39.81, 78
47.03, 2
49.25, 21
49.38, 7
57.56, 13
65.08, 19
65.19, 18

Cell and atoms:
a = 19.7268 Å, b = 4.5321 Å, c = 9.0524 Å
α = 90.00°, β = 103.09°, γ = 90.00°
Space group C2/m (No. 12)
Unique sites:
Nd (0.0000, 0.0000, 0.0000) (multiplicity 2)
Nd (0.1663, 0.5000, 0.3328) (multiplicity 4)
Dy (0.0000, 0.0000, 0.5000) (multiplicity 2)
Tm (0.1668, 0.5000, 0.8330) (multiplicity 4)
Bi (0.0029, 0.5000, 0.7456) (multiplicity 4)
Bi (0.1649, 0.0000, 0.5902) (multiplicity 4)
Bi (0.1694, 0.0000, 0.0762) (multiplicity 4)

=====

(7)
For NaPmOsO4, the PBE geometry in Alexandria gives the simulated powder XRD pattern in this record (Cu Kα (weighted mean of Kα1 and Kα2)).
Lines closer than 0.1° are merged.

Principal peaks in the range 5° ≤ 2θ ≤ 70°, low angle first:
2θ (°), I/Imax
15.81, 100
16.69, 43
29.98, 30
31.43, 39
31.93, 38
32.56, 20
33.76, 32
36.92, 44
47.94, 18
55.89, 32

Cell and atoms:
a = 6.6071 Å, b = 7.2022 Å, c = 8.9267 Å
α = 90.00°, β = 90.00°, γ = 90.00°
Space group Imma (No. 74)
Unique sites:
Na (0.0000, 0.2500, 0.1134) (multiplicity 4)
Pm (0.0000, 0.0000, 0.5000) (multiplicity 4)
Os (0.2500, 0.2500, 0.7500) (multiplicity 4)
O (0.0000, 0.0711, 0.7590) (multiplicity 8)
O (0.2228, 0.2500, 0.5251) (multiplicity 8)

=====

(8)
For TeMo2S3, the PBE geometry in Alexandria gives the simulated powder XRD pattern in this record (Cu Kα (weighted mean of Kα1 and Kα2)).
Lines closer than 0.1° are merged.

Principal peaks in the range 5° ≤ 2θ ≤ 70°, low angle first:
2θ (°), I/Imax
7.05, 34
11.77, 100
16.50, 13
31.58, 48
33.78, 12
35.80, 27
37.02, 68
43.02, 12
44.75, 40
56.19, 27

Cell and atoms:
a = 3.2749 Å, b = 3.2749 Å, c = 37.5993 Å
α = 90.00°, β = 90.00°, γ = 120.00°
Space group P3m1 (No. 156)
Unique sites:
Te (0.0000, 0.0000, 0.0000) (multiplicity 1)
Te (0.0000, 0.0000, 0.1027) (multiplicity 1)
Mo (0.0000, 0.0000, 0.2490) (multiplicity 1)
Mo (0.0000, 0.0000, 0.8558) (multiplicity 1)
Mo (0.6667, 0.3333, 0.0513) (multiplicity 1)
Mo (0.6667, 0.3333, 0.6717) (multiplicity 1)
S (0.0000, 0.0000, 0.6308) (multiplicity 1)
S (0.0000, 0.0000, 0.7126) (multiplicity 1)
S (0.6667, 0.3333, 0.2081) (multiplicity 1)
S (0.6667, 0.3333, 0.2898) (multiplicity 1)
S (0.6667, 0.3333, 0.8149) (multiplicity 1)
S (0.6667, 0.3333, 0.8967) (multiplicity 1)